Record 1
The following is a calculated X-ray diffraction stick pattern of PaGa3Cu. It was derived from a crystal structure in Alexandria, relaxed with GGA-PBE, using CuKα.
Intensities are scaled so that the largest is 100.

Structural model:
```
data_PaGa3Cu
_space_group_name_H-M_alt 'I 4 m m'
_space_group_IT_number 107
_space_group_name_Hall 'I 4 -2'
_cell_length_a 4.263
_cell_length_b 4.263
_cell_length_c 9.930
_cell_angle_alpha 90.00
_cell_angle_beta 90.00
_cell_angle_gamma 90.00
loop_
_atom_site_label
_atom_site_type_symbol
_atom_site_fract_x
_atom_site_fract_y
_atom_site_fract_z
Pa1 Pa 0.000 0.000 0.000
Ga1 Ga 0.000 0.000 0.594
Ga2 Ga 0.000 0.500 0.248
Cu1 Cu 0.000 0.000 0.361
```

Largest 10 diffraction maxima, low angle first, 2θ from 10° to 90°:
(1 0 1), 2θ 22.70, I 27; (1 1 0), 2θ 29.63, I 25; (1 0 3), 2θ 34.30, I 63; (1 1 2), 2θ 34.82, I 100; (2 0 0), 2θ 42.40, I 51; (1 0 5), 2θ 50.71, I 25; (2 1 3), 2θ 55.63, I 32; (2 2 0), 2θ 61.52, I 17; (2 1 5), 2θ 68.18, I 21; (3 1 2), 2θ 72.67, I 24

***

Record 2
The following is a calculated X-ray diffraction stick pattern of MgCdIn2. It was derived from a crystal structure in Alexandria, relaxed with GGA-PBE, using CuKα.
Intensities are scaled so that the largest is 100.

Structural model:
```
data_MgCdIn2
_space_group_name_H-M_alt 'C m m m'
_space_group_IT_number 65
_space_group_name_Hall '-C 2 2'
_cell_length_a 3.763
_cell_length_b 5.358
_cell_length_c 9.907
_cell_angle_alpha 90.00
_cell_angle_beta 90.00
_cell_angle_gamma 90.00
loop_
_atom_site_label
_atom_site_type_symbol
_atom_site_fract_x
_atom_site_fract_y
_atom_site_fract_z
Mg1 Mg 0.000 0.000 0.000
Cd1 Cd 0.000 0.000 0.500
In1 In 0.000 0.500 0.248
```

Largest 10 diffraction maxima, low angle first, 2θ from 10° to 90°:
(0 2 0), 2θ 33.45, I 27; (1 1 2), 2θ 34.29, I 100; (0 0 4), 2θ 36.27, I 21; (2 0 0), 2θ 48.38, I 9; (0 2 4), 2θ 50.16, I 16; (2 2 0), 2θ 60.09, I 9; (1 3 2), 2θ 60.34, I 18; (2 0 4), 2θ 61.94, I 9; (1 1 6), 2θ 63.98, I 15; (2 2 4), 2θ 72.25, I 11

***

Record 3
The following is a calculated X-ray diffraction stick pattern of GdTiNbBi2O9. It was derived from a crystal structure in Alexandria, relaxed with GGA-PBE, using CuKα.
Intensities are scaled so that the largest is 100.

Structural model:
```
data_GdTiNbBi2O9
_space_group_name_H-M_alt 'P 1 21 1'
_space_group_IT_number 4
_cell_length_a 5.439
_cell_length_b 5.523
_cell_length_c 12.955
_cell_angle_alpha 90.00
_cell_angle_beta 101.65
_cell_angle_gamma 90.00
loop_
_space_group_symop_operation_xyz
'x,y,z'
'-x,y+1/2,-z'
loop_
_atom_site_label
_atom_site_type_symbol
_atom_site_fract_x
_atom_site_fract_y
_atom_site_fract_z
Gd1 Gd 0.241 0.000 0.000
Ti1 Ti 0.335 0.536 0.168
Nb1 Nb 0.180 0.541 0.832
Bi1 Bi 0.022 0.959 0.602
Bi2 Bi 0.425 0.950 0.397
O1 O 0.016 0.777 0.117
O2 O 0.018 0.547 0.689
O3 O 0.099 0.279 0.118
O4 O 0.240 0.727 0.501
O5 O 0.261 0.228 0.501
O6 O 0.320 0.554 0.305
O7 O 0.344 0.589 0.000
O8 O 0.359 0.868 0.828
O9 O 0.479 0.364 0.827
```

Largest 10 diffraction maxima, low angle first, 2θ from 10° to 90°:
(0 0 2), 2θ 13.96, I 28; (1 1 -1), 2θ 23.22, I 19; (1 1 2), 2θ 28.91, I 99; (1 1 -3), 2θ 29.07, I 100; (0 2 0), 2θ 32.42, I 33; (2 0 -1), 2θ 32.94, I 33; (0 0 5), 2θ 35.38, I 28; (2 2 -1), 2θ 46.89, I 30; (0 2 5), 2θ 48.74, I 23; (1 3 -3), 2θ 55.74, I 27

***

Record 4
The following is a calculated X-ray diffraction stick pattern of Ac3PrSm6. It was derived from a crystal structure in Alexandria, relaxed with GGA-PBE, using CuKα.
Intensities are scaled so that the largest is 100.

Structural model:
```
data_Ac3PrSm6
_space_group_name_H-M_alt 'R -3'
_space_group_IT_number 148
_space_group_name_Hall '-R 3'
_cell_length_a 10.2041
_cell_length_b 10.2041
_cell_length_c 12.8472
_cell_angle_alpha 90.00
_cell_angle_beta 90.00
_cell_angle_gamma 120.00
loop_
_atom_site_label
_atom_site_type_symbol
_atom_site_fract_x
_atom_site_fract_y
_atom_site_fract_z
Ac1 Ac 0.0000 0.0000 0.0000
Ac2 Ac 0.0000 0.0000 0.2589
Pr1 Pr 0.0000 0.0000 0.5000
Sm1 Sm 0.0008 0.3295 0.4242
```

Largest 10 diffraction maxima, low angle first, 2θ from 10° to 90°:
(1 1 0), 2θ 17.38, I 16; (2 -1 3), 2θ 27.19, I 59; (1 0 4), 2θ 29.59, I 23; (3 0 0), 2θ 30.34, I 100; (0 2 4), 2θ 34.52, I 16; (2 1 4), 2θ 38.90, I 23; (2 2 3), 2θ 41.19, I 19; (4 -3 4), 2θ 46.61, I 13; (5 -1 3), 2θ 52.01, I 20; (3 3 0), 2θ 53.91, I 20

***

Record 5
The following is a calculated X-ray diffraction stick pattern of Cd2InIr. It was derived from a crystal structure in Alexandria, relaxed with GGA-PBE, using CuKα.
Intensities are scaled so that the largest is 100.

Structural model:
```
data_Cd2InIr
_space_group_name_H-M_alt 'I -4 m 2'
_space_group_IT_number 119
_space_group_name_Hall 'I -4 -2'
_cell_length_a 4.216
_cell_length_b 4.216
_cell_length_c 8.526
_cell_angle_alpha 90.00
_cell_angle_beta 90.00
_cell_angle_gamma 90.00
loop_
_atom_site_label
_atom_site_type_symbol
_atom_site_fract_x
_atom_site_fract_y
_atom_site_fract_z
Cd1 Cd 0.000 0.000 0.000
Cd2 Cd 0.000 0.500 0.250
In1 In 0.000 0.500 0.750
Ir1 Ir 0.000 0.000 0.500
```

Largest 10 diffraction maxima, low angle first, 2θ from 10° to 90°:
(0 0 2), 2θ 20.84, I 2; (1 0 1), 2θ 23.54, I 6; (1 1 2), 2θ 36.79, I 100; (0 0 4), 2θ 42.41, I 17; (2 0 0), 2θ 42.90, I 32; (2 0 4), 2θ 61.91, I 21; (2 2 0), 2θ 62.29, I 10; (1 1 6), 2θ 73.88, I 13; (3 1 2), 2θ 74.58, I 24; (2 2 4), 2θ 78.26, I 11

***

Record 6
The following is a calculated X-ray diffraction stick pattern of Cs2H2OF2. It was derived from a crystal structure in Alexandria, relaxed with GGA-PBE, using CuKα.
Intensities are scaled so that the largest is 100.

Structural model:
```
data_Cs2H2OF2
_space_group_name_H-M_alt 'P -1'
_space_group_IT_number 2
_cell_length_a 4.450
_cell_length_b 4.815
_cell_length_c 6.794
_cell_angle_alpha 85.53
_cell_angle_beta 77.87
_cell_angle_gamma 81.03
loop_
_space_group_symop_operation_xyz
'x,y,z'
'-x,-y,-z'
loop_
_atom_site_label
_atom_site_type_symbol
_atom_site_fract_x
_atom_site_fract_y
_atom_site_fract_z
Cs1 Cs 0.162 0.202 0.237
H1 H 0.403 0.381 0.622
O1 O 0.500 0.500 0.500
F1 F 0.256 0.229 0.794
```

Largest 10 diffraction maxima, low angle first, 2θ from 10° to 90°:
(1 0 0), 2θ 20.63, I 20; (1 0 1), 2θ 22.24, I 29; (0 1 1), 2θ 22.50, I 41; (0 1 -1), 2θ 23.54, I 64; (1 1 0), 2θ 25.86, I 35; (1 1 1), 2θ 26.73, I 48; (0 0 2), 2θ 26.87, I 100; (1 -1 0), 2θ 29.93, I 62; (1 1 2), 2θ 33.66, I 20; (1 -1 2), 2θ 38.28, I 20